The following is a theoretical powder XRD pattern of Na3AlZnP2SO12. It was derived from a cell relaxed with PBE, using Cu Kα (λ = 1.5418 Å).
Intensities are scaled so that the largest is 100.

Structure:
```
data_Na3AlZnP2SO12
_cell_length_a 15.1986
_cell_length_b 8.8099
_cell_length_c 8.8814
_cell_angle_alpha 90.00
_cell_angle_beta 125.37
_cell_angle_gamma 90.00
_symmetry_space_group_name_H-M 'C 1 c 1'
_symmetry_Int_Tables_number 9
_symmetry_space_group_name_Hall 'C -2yc'
loop_
_atom_site_label
_atom_site_type_symbol
_atom_site_fract_x
_atom_site_fract_y
_atom_site_fract_z
Na1 Na 0.0000 0.0661 0.0000
Na2 Na 0.3644 0.0709 0.0038
Na3 Na 0.4343 0.2414 0.7510
Al1 Al 0.2705 0.2374 0.2949
Zn1 Zn 0.0784 0.2561 0.6943
P1 P 0.0259 0.3920 0.9852
P2 P 0.1758 0.0459 0.4879
S1 S 0.3196 0.4052 0.9940
O1 O 0.0153 0.3685 0.8054
O2 O 0.0152 0.4370 0.5050
O3 O 0.1012 0.0482 0.8133
O4 O 0.1014 0.1458 0.5102
O5 O 0.1296 0.3139 0.1511
O6 O 0.2277 0.3326 0.8304
O7 O 0.2509 0.0597 0.1600
O8 O 0.2573 0.1408 0.4713
O9 O 0.3233 0.3740 0.1630
O10 O 0.3226 0.4264 0.4757
O11 O 0.4150 0.3400 0.0081
O12 O 0.4277 0.1908 0.4716
```

Principal peaks in the range 2θ from 5° to 70°, low angle first:
2theta  intensity
14.16  88
20.17  92
23.60  65
23.64  82
23.79  66
31.35  77
31.89  88
32.00  100
32.17  99
35.33  94